Starting from a structure optimized by DFT (GGA-PBE), the X-ray diffraction stick pattern of TaAsPCl13 was simulated for a wavelength of 1.5418 Å.

Crystal structure
Cell: 10.7015 16.5538 12.1850 Å, 90.00 90.00 90.00°
Space group Cmc2_1 (No. 36)
Asymmetric unit:
Ta1 0.0000 0.2157 0.0000 [4 per cell]
As1 0.0000 0.4378 0.1516 [4 per cell]
P1 0.0000 0.1348 0.4647 [4 per cell]
Cl1 0.0000 0.1000 0.1157 [4 per cell]
Cl2 0.0000 0.1360 0.6254 [4 per cell]
Cl3 0.0000 0.2460 0.4106 [4 per cell]
Cl4 0.0000 0.3365 0.8968 [4 per cell]
Cl5 0.0000 0.4330 0.3343 [4 per cell]
Cl6 0.1491 0.0788 0.4116 [8 per cell]
Cl7 0.1572 0.1594 0.8896 [8 per cell]
Cl8 0.1566 0.2745 0.1180 [8 per cell]
Cl9 0.1579 0.4763 0.6298 [8 per cell]

Largest 10 diffraction maxima, by angle, 2θ = 5–70°:
- 2θ = 10.7°, intensity 14
- 2θ = 12.2°, intensity 100
- 2θ = 14.5°, intensity 30
- 2θ = 16.6°, intensity 48
- 2θ = 17.6°, intensity 26
- 2θ = 18.1°, intensity 65
- 2θ = 19.5°, intensity 30
- 2θ = 24.6°, intensity 30
- 2θ = 29.5°, intensity 15
- 2θ = 37.3°, intensity 13